1.
For Hf2SbP, a structure optimized by DFT (GGA-PBE) gives the theoretical X-ray diffraction stick pattern in this record (Cu Kα (weighted mean of Kα1 and Kα2)).
No peak broadening, texture or thermal motion is included.

Top 6 peaks for 2θ from 5° to 70°, sorted by position:
2θ (°)	I_rel	hkl
27.1	29	1 0 0
34.0	100	1 0 3
47.8	32	1 1 0
49.9	11	1 0 6
59.9	20	2 0 3
64.8	13	1 1 6

Structure:
```
Hf2SbP
1.0
3.807 0.000 0.000
-1.903 3.297 0.000
0.000 0.000 13.165
Hf Sb P
4 2 2
Cartesian
0.000 2.198 1.341
0.000 2.198 5.241
1.903 1.099 7.923
1.903 1.099 11.824
0.000 2.198 9.873
1.903 1.099 3.291
0.000 0.000 0.000
0.000 0.000 6.582
```

---

2.
For PrAlAsO, a structure optimized by DFT (GGA-PBE) gives the theoretical X-ray diffraction stick pattern in this record (Cu Kα (weighted mean of Kα1 and Kα2)).
No peak broadening, texture or thermal motion is included.

Top 6 peaks for 2θ from 5° to 70°, sorted by position:
2θ (°)	I_rel	hkl
22.5	28	0 1 1
31.8	100	1 1 1
33.1	59	1 0 2
38.4	28	0 2 0
41.6	45	0 1 3
63.1	25	2 1 3

Structure:
```
PrAlAsO
1.0
4.010 0.000 0.000
0.000 4.688 0.000
0.000 0.000 7.351
Pr Al As O
2 2 2 2
Cartesian
0.000 0.920 0.000
0.000 3.767 3.676
2.005 1.430 2.510
2.005 3.258 6.186
2.005 0.938 5.029
2.005 3.749 1.353
0.000 1.433 2.529
0.000 3.255 6.205
```

---

3.
For Tm3Mg3CdAu2, a structure optimized by DFT (GGA-PBE) gives the theoretical X-ray diffraction stick pattern in this record (Cu Kα (weighted mean of Kα1 and Kα2)).
No peak broadening, texture or thermal motion is included.

Top 6 peaks for 2θ from 5° to 70°, sorted by position:
2θ (°)	I_rel	hkl
13.4	33	1 0 0
23.4	41	1 1 0
32.1	90	1 1 1
34.9	100	2 0 1
41.1	32	3 0 0
42.5	26	2 1 1

Structure:
```
Tm3Mg3CdAu2
1.0
7.609 0.000 0.000
-3.805 6.590 0.000
0.000 0.000 4.102
Tm Mg Cd Au
3 3 1 2
Cartesian
-2.208 3.824 0.000
1.597 2.766 0.000
4.415 0.000 0.000
-0.969 1.678 2.051
1.938 0.000 2.051
2.836 4.912 2.051
0.000 0.000 0.000
0.000 4.393 2.051
3.805 2.197 2.051
```